[1]
Computed XRD peak list
Compound: NaLiF2
Radiation: Cu Kα X-rays
Structure: a PBE-relaxed structure

Most intense lines, 10° ≤ 2θ ≤ 80°, in order of rising 2θ:
22.01°, I = 40; 37.49°, I = 61; 39.09°, I = 99; 39.24°, I = 100; 42.90°, I = 68; 55.33°, I = 36; 56.58°, I = 52; 59.42°, I = 40; 59.53°, I = 40; 73.54°, I = 34

Atomic structure:
```
NaLiF2
1.0
4.6088 0.0000 0.0000
0.0000 8.4331 0.0000
0.0000 0.0000 4.5923
Na Li F
4 4 8
Direct
0.0031 0.1251 0.0000
0.4969 0.6251 0.5000
0.5031 0.3749 0.0000
0.9969 0.8749 0.5000
0.0355 0.3747 0.5303
0.4645 0.8747 0.0303
0.5355 0.1253 0.5303
0.9645 0.6253 0.0303
0.0035 0.3960 0.9605
0.0385 0.8538 0.9942
0.4615 0.3538 0.4942
0.4965 0.8960 0.4605
0.5035 0.1040 0.9605
0.5385 0.6462 0.9942
0.9615 0.1462 0.4942
0.9965 0.6040 0.4605
```

=====

[2]
Computed XRD peak list
Compound: NaLi2F
Radiation: Cu Kα X-rays
Structure: a PBE-relaxed structure

Most intense lines, 10° ≤ 2θ ≤ 80°, in order of rising 2θ:
28.57°, I = 100; 33.67°, I = 3; 40.72°, I = 3; 40.90°, I = 7; 50.52°, I = 11; 50.63°, I = 23; 59.09°, I = 10; 59.22°, I = 5; 66.79°, I = 4; 67.05°, I = 8

Atomic structure:
```
NaLi2F
1.0
-3.1204 3.1204 4.4311
3.1204 -3.1204 4.4311
3.1204 3.1204 -4.4311
Na Li F
2 4 2
Direct
0.0000 0.0000 0.0000
0.7500 0.2500 0.5000
0.3724 0.6250 0.2474
0.3750 0.6224 0.7474
0.3776 0.1250 0.7526
0.8750 0.6276 0.2526
0.2500 0.7500 0.5000
0.5000 0.5000 0.0000
```

=====

[3]
Computed XRD peak list
Compound: NaLiF3
Radiation: Cu Kα X-rays
Structure: a PBE-relaxed structure

Most intense lines, 10° ≤ 2θ ≤ 80°, in order of rising 2θ:
24.46°, I = 30; 34.77°, I = 43; 34.96°, I = 43; 40.95°, I = 63; 41.11°, I = 61; 42.64°, I = 100; 44.75°, I = 37; 44.86°, I = 37; 50.14°, I = 39; 54.91°, I = 30

Atomic structure:
```
NaLiF3
1.0
5.1325 0.0000 0.0000
0.0000 5.1600 0.0000
0.0000 0.0000 4.2407
Na Li F
2 2 6
Direct
0.0000 0.0000 0.0000
0.5000 0.5000 0.0000
0.0000 0.5000 0.5000
0.5000 0.0000 0.5000
0.0000 0.5000 0.0000
0.1389 0.1399 0.5000
0.3611 0.6399 0.5000
0.5000 0.0000 0.0000
0.6389 0.3601 0.5000
0.8611 0.8601 0.5000
```